This entry pairs a crystal structure of MnGaPt2 with its computed PXRD pattern. Radiation: a wavelength of 1.5418 Å. Structure: a DFT-relaxed cell (GGA-PBE, the Materials Project).
Kinematic intensities with the Lorentz-polarization factor, no thermal factor.

```
data_MnGaPt2
_cell_length_a 6.2290
_cell_length_b 6.2290
_cell_length_c 6.2290
_cell_angle_alpha 90.00
_cell_angle_beta 90.00
_cell_angle_gamma 90.00
_space_group_name_H-M_alt 'F m -3 m'
_space_group_IT_number 225
_space_group_name_Hall '-F 4 2 3'
loop_
_atom_site_label
_atom_site_fract_x
_atom_site_fract_y
_atom_site_fract_z
Mn1 0.0000 0.0000 0.0000
Ga1 0.0000 0.0000 0.5000
Pt1 0.2500 0.2500 0.2500
```

The 7 most intense peaks (10 to 90 degrees two-theta), low angle first:
d [Å]	intensity	hkl
3.114	31	2 0 0
2.202	100	2 2 0
1.798	9	2 2 2
1.557	17	4 0 0
1.393	12	4 2 0
1.271	34	4 2 2
1.101	11	4 4 0